(1)
Theoretical PXRD pattern
Compound: KCrO3
Radiation: Cu Kα (weighted mean of Kα1 and Kα2)
Structure: a GGA+U-relaxed structure

Largest 12 diffraction maxima, by angle, 2θ from 5° to 70°:
| 2θ/deg | intensity | hkl |
| --- | --- | --- |
| 15.50 | 21 | 0 2 0 |
| 25.50 | 100 | 0 2 1 |
| 31.01 | 24 | 0 3 1 |
| 31.29 | 24 | 0 4 0 |
| 32.46 | 42 | 1 2 0 |
| 34.93 | 40 | 1 0 -1 |
| 35.09 | 40 | 1 0 1 |
| 47.61 | 17 | 1 4 -1 |
| 52.33 | 18 | 0 6 1 |
| 53.05 | 12 | 1 2 -2 |
| 53.28 | 12 | 1 2 2 |
| 56.45 | 14 | 1 6 0 |

Crystal structure
Unit cell a=3.1487 b=11.4332 c=4.4122 alpha=90.00 beta=90.27 gamma=90.00
Space group P2_1/m (No. 11)
Unique sites:
K  0.0000  0.0000  0.0000 (multiplicity 2)
Cr  0.4987  0.2500  0.4343 (multiplicity 2)
O  0.0028  0.7500  0.7923 (multiplicity 2)
O  0.4990  0.1242  0.6183 (multiplicity 4)

(2)
Theoretical PXRD pattern
Compound: Li3Cr2P3O12
Radiation: Cu Kα (weighted mean of Kα1 and Kα2)
Structure: a GGA+U-relaxed structure

Largest 12 diffraction maxima, by angle, 2θ from 5° to 70°:
| 2θ/deg | intensity | hkl |
| --- | --- | --- |
| 14.48 | 67 | 0 1 2 |
| 19.93 | 71 | 1 0 4 |
| 21.13 | 14 | 1 1 0 |
| 24.26 | 100 | 1 1 3 |
| 29.21 | 49 | 0 2 4 |
| 31.96 | 68 | 1 1 6 |
| 32.78 | 18 | 3 -1 1 |
| 37.03 | 19 | 3 0 0 |
| 38.99 | 17 | 3 0 3 |
| 49.71 | 16 | 2 2 6 |
| 52.50 | 19 | 2 1 10 |
| 61.69 | 16 | 4 -3 10 |

Crystal structure
Unit cell a=8.4096 b=8.4096 c=22.5189 alpha=90.00 beta=90.00 gamma=120.00
Space group R-3 (No. 148, hexagonal axes)
Unique sites:
Li  0.0204  0.6374  0.2153 (multiplicity 18)
Cr  0.0000  0.0000  0.1511 (multiplicity 6)
Cr  0.0000  0.0000  0.3555 (multiplicity 6)
P  0.0006  0.7111  0.7496 (multiplicity 18)
O  0.0016  0.8054  0.6925 (multiplicity 18)
O  0.0446  0.2105  0.5880 (multiplicity 18)
O  0.0906  0.2363  0.1976 (multiplicity 18)
O  0.0954  0.2302  0.8989 (multiplicity 18)